# 1
BaAlCdF7: calculated X-ray powder pattern (λ = 1.5418 Å (Cu Kα)), based on a cell relaxed with GGA-PBE.

Most intense lines, 2θ = 10–80°, in order of rising 2θ:
2θ = 25.21°, intensity 100
2θ = 26.56°, intensity 32
2θ = 27.27°, intensity 27
2θ = 27.68°, intensity 17
2θ = 29.52°, intensity 35
2θ = 29.84°, intensity 31
2θ = 33.27°, intensity 20
2θ = 43.04°, intensity 43
2θ = 44.19°, intensity 18
2θ = 54.79°, intensity 23

Structural model:
Cell: 7.5216 7.5216 15.0354 Å, 91.66 91.66 41.96°
Atoms (fractional coordinates):
Ba: 0.1528 0.2280 0.1226
Ba: 0.2280 0.1528 0.6226
Ba: 0.7720 0.8472 0.3774
Ba: 0.8472 0.7720 0.8774
Al: 0.1147 0.1304 0.8754
Al: 0.1304 0.1147 0.3754
Al: 0.8696 0.8853 0.6246
Al: 0.8853 0.8696 0.1246
Cd: 0.4485 0.5515 0.2500
Cd: 0.5000 0.5000 0.0000
Cd: 0.5000 0.5000 0.5000
Cd: 0.5515 0.4485 0.7500
F: 0.0433 0.6316 0.2175
F: 0.0715 0.7556 0.5252
F: 0.1000 0.8989 0.1533
F: 0.1011 0.9000 0.3467
F: 0.1414 0.6176 0.6967
F: 0.1561 0.5769 0.0515
F: 0.1890 0.3021 0.4076
F: 0.2444 0.9285 0.9748
F: 0.3021 0.1890 0.9076
F: 0.3426 0.5229 0.8703
F: 0.3684 0.9567 0.2825
F: 0.3824 0.8586 0.8033
F: 0.4231 0.8439 0.4485
F: 0.4771 0.6574 0.6297
F: 0.5229 0.3426 0.3703
F: 0.5769 0.1561 0.5515
F: 0.6176 0.1414 0.1967
F: 0.6316 0.0433 0.7175
F: 0.6574 0.4771 0.1297
F: 0.6979 0.8110 0.0924
F: 0.7556 0.0715 0.0252
F: 0.8110 0.6979 0.5924
F: 0.8439 0.4231 0.9485
F: 0.8586 0.3824 0.3033
F: 0.8989 0.1000 0.6533
F: 0.9000 0.1011 0.8467
F: 0.9285 0.2444 0.4748
F: 0.9567 0.3684 0.7825



# 2
BaAl2Cl8: calculated X-ray powder pattern (λ = 1.5418 Å (Cu Kα)), based on a cell relaxed with GGA-PBE.

Most intense lines, 2θ = 10–80°, in order of rising 2θ:
2θ = 11.05°, intensity 100
2θ = 14.12°, intensity 31
2θ = 16.20°, intensity 44
2θ = 18.76°, intensity 62
2θ = 24.56°, intensity 34
2θ = 25.25°, intensity 36
2θ = 28.57°, intensity 34
2θ = 30.43°, intensity 35
2θ = 32.71°, intensity 42
2θ = 33.23°, intensity 27

Structural model:
Cell: 8.1532 7.2368 12.8024 Å, 90.00 100.90 90.00°
Atoms (fractional coordinates):
Ba: 0.0000 0.1477 0.2500
Ba: 0.0000 0.8523 0.7500
Al: 0.2003 0.2740 0.9411
Al: 0.2003 0.7260 0.4411
Al: 0.7997 0.2740 0.5589
Al: 0.7997 0.7260 0.0589
Cl: 0.0620 0.2029 0.6034
Cl: 0.0620 0.7971 0.1034
Cl: 0.2472 0.4560 0.3811
Cl: 0.2472 0.5440 0.8811
Cl: 0.2731 0.2776 0.1123
Cl: 0.2731 0.7224 0.6123
Cl: 0.3327 0.0635 0.8709
Cl: 0.3327 0.9365 0.3709
Cl: 0.6673 0.0635 0.6291
Cl: 0.6673 0.9365 0.1291
Cl: 0.7269 0.2776 0.3877
Cl: 0.7269 0.7224 0.8877
Cl: 0.7528 0.4560 0.1189
Cl: 0.7528 0.5440 0.6189
Cl: 0.9380 0.2029 0.8966
Cl: 0.9380 0.7971 0.3966



# 3
Ba5Al2In2IrClO13: calculated X-ray powder pattern (λ = 1.5418 Å (Cu Kα)), based on a cell relaxed with GGA-PBE.

Most intense lines, 2θ = 10–80°, in order of rising 2θ:
2θ = 17.23°, intensity 18
2θ = 24.55°, intensity 20
2θ = 30.06°, intensity 100
2θ = 33.01°, intensity 18
2θ = 39.19°, intensity 17
2θ = 41.51°, intensity 24
2θ = 45.25°, intensity 9
2θ = 53.39°, intensity 23
2θ = 55.29°, intensity 9
2θ = 62.51°, intensity 14

Structural model:
Cell: 5.9430 5.9430 25.5526 Å, 90.00 90.00 120.00°
Atoms (fractional coordinates):
Ba: 0.0000 0.0000 0.2500
Ba: 0.0000 0.0000 0.7500
Ba: 0.3333 0.6667 0.0397
Ba: 0.3333 0.6667 0.4603
Ba: 0.3333 0.6667 0.6316
Ba: 0.3333 0.6667 0.8684
Ba: 0.6667 0.3333 0.1316
Ba: 0.6667 0.3333 0.3684
Ba: 0.6667 0.3333 0.5397
Ba: 0.6667 0.3333 0.9603
Al: 0.3333 0.6667 0.1820
Al: 0.3333 0.6667 0.3180
Al: 0.6667 0.3333 0.6820
Al: 0.6667 0.3333 0.8180
In: 0.0000 0.0000 0.1126
In: 0.0000 0.0000 0.3874
In: 0.0000 0.0000 0.6126
In: 0.0000 0.0000 0.8874
Ir: 0.0000 0.0000 0.0000
Ir: 0.0000 0.0000 0.5000
Cl: 0.3333 0.6667 0.7500
Cl: 0.6667 0.3333 0.2500
O: 0.1546 0.3091 0.5477
O: 0.1546 0.3091 0.9523
O: 0.1546 0.8454 0.5477
O: 0.1546 0.8454 0.9523
O: 0.1733 0.3466 0.1559
O: 0.1733 0.3466 0.3441
O: 0.1733 0.8267 0.1559
O: 0.1733 0.8267 0.3441
O: 0.3091 0.1546 0.0477
O: 0.3091 0.1546 0.4523
O: 0.3333 0.6667 0.2500
O: 0.3466 0.1733 0.6559
O: 0.3466 0.1733 0.8441
O: 0.6534 0.8267 0.1559
O: 0.6534 0.8267 0.3441
O: 0.6667 0.3333 0.7500
O: 0.6909 0.8454 0.5477
O: 0.6909 0.8454 0.9523
O: 0.8267 0.1733 0.6559
O: 0.8267 0.1733 0.8441
O: 0.8267 0.6534 0.6559
O: 0.8267 0.6534 0.8441
O: 0.8454 0.1546 0.0477
O: 0.8454 0.1546 0.4523
O: 0.8454 0.6909 0.0477
O: 0.8454 0.6909 0.4523



# 4
Ba5Al3Cu2: calculated X-ray powder pattern (λ = 1.5418 Å (Cu Kα)), based on a cell relaxed with GGA-PBE.

Most intense lines, 2θ = 10–80°, in order of rising 2θ:
2θ = 13.86°, intensity 21
2θ = 18.72°, intensity 25
2θ = 20.38°, intensity 25
2θ = 24.40°, intensity 38
2θ = 31.51°, intensity 84
2θ = 31.68°, intensity 100
2θ = 34.73°, intensity 30
2θ = 38.23°, intensity 25
2θ = 45.29°, intensity 24
2θ = 56.33°, intensity 31

Structural model:
Cell: 13.1910 13.1910 13.1910 Å, 24.73 24.73 24.73°
Atoms (fractional coordinates):
Ba: 0.0000 0.0000 0.0000
Ba: 0.0943 0.0943 0.0943
Ba: 0.2667 0.2667 0.2667
Ba: 0.4606 0.4606 0.4606
Ba: 0.5645 0.5645 0.5645
Al: 0.0147 0.0147 0.5128
Al: 0.0147 0.5128 0.0147
Al: 0.5128 0.0147 0.0147
Cu: 0.7320 0.7320 0.7320
Cu: 0.9025 0.9025 0.9025



Copy entry 3 word for word.
Ba5Al2In2IrClO13: calculated X-ray powder pattern (λ = 1.5418 Å (Cu Kα)), based on a cell relaxed with GGA-PBE.

Most intense lines, 2θ = 10–80°, in order of rising 2θ:
2θ = 17.23°, intensity 18
2θ = 24.55°, intensity 20
2θ = 30.06°, intensity 100
2θ = 33.01°, intensity 18
2θ = 39.19°, intensity 17
2θ = 41.51°, intensity 24
2θ = 45.25°, intensity 9
2θ = 53.39°, intensity 23
2θ = 55.29°, intensity 9
2θ = 62.51°, intensity 14

Structural model:
Cell: 5.9430 5.9430 25.5526 Å, 90.00 90.00 120.00°
Atoms (fractional coordinates):
Ba: 0.0000 0.0000 0.2500
Ba: 0.0000 0.0000 0.7500
Ba: 0.3333 0.6667 0.0397
Ba: 0.3333 0.6667 0.4603
Ba: 0.3333 0.6667 0.6316
Ba: 0.3333 0.6667 0.8684
Ba: 0.6667 0.3333 0.1316
Ba: 0.6667 0.3333 0.3684
Ba: 0.6667 0.3333 0.5397
Ba: 0.6667 0.3333 0.9603
Al: 0.3333 0.6667 0.1820
Al: 0.3333 0.6667 0.3180
Al: 0.6667 0.3333 0.6820
Al: 0.6667 0.3333 0.8180
In: 0.0000 0.0000 0.1126
In: 0.0000 0.0000 0.3874
In: 0.0000 0.0000 0.6126
In: 0.0000 0.0000 0.8874
Ir: 0.0000 0.0000 0.0000
Ir: 0.0000 0.0000 0.5000
Cl: 0.3333 0.6667 0.7500
Cl: 0.6667 0.3333 0.2500
O: 0.1546 0.3091 0.5477
O: 0.1546 0.3091 0.9523
O: 0.1546 0.8454 0.5477
O: 0.1546 0.8454 0.9523
O: 0.1733 0.3466 0.1559
O: 0.1733 0.3466 0.3441
O: 0.1733 0.8267 0.1559
O: 0.1733 0.8267 0.3441
O: 0.3091 0.1546 0.0477
O: 0.3091 0.1546 0.4523
O: 0.3333 0.6667 0.2500
O: 0.3466 0.1733 0.6559
O: 0.3466 0.1733 0.8441
O: 0.6534 0.8267 0.1559
O: 0.6534 0.8267 0.3441
O: 0.6667 0.3333 0.7500
O: 0.6909 0.8454 0.5477
O: 0.6909 0.8454 0.9523
O: 0.8267 0.1733 0.6559
O: 0.8267 0.1733 0.8441
O: 0.8267 0.6534 0.6559
O: 0.8267 0.6534 0.8441
O: 0.8454 0.1546 0.0477
O: 0.8454 0.1546 0.4523
O: 0.8454 0.6909 0.0477
O: 0.8454 0.6909 0.4523